Calculated X-ray powder pattern of Li3LaZn2 for λ = 1.5418 Å (Cu Kα), from a DFT-relaxed cell (GGA-PBE, Alexandria).
Lines closer than 0.1° are merged.

```
data_Li3LaZn2
_cell_length_a 9.8998
_cell_length_b 9.8998
_cell_length_c 4.3748
_cell_angle_alpha 90.00
_cell_angle_beta 90.00
_cell_angle_gamma 120.00
_space_group_name_H-M_alt 'P 6/m m m'
_space_group_IT_number 191
_space_group_name_Hall '-P 6 2'
loop_
_atom_site_label
_atom_site_fract_x
_atom_site_fract_y
_atom_site_fract_z
_atom_site_occupancy
Li1 0.0000 0.2965 0.0000 1
Li2 0.0000 0.5000 0.5000 1
La1 0.0000 0.0000 0.5000 1
La2 0.3333 0.6667 0.0000 1
Zn1 0.1895 0.3790 0.5000 1
```

Most intense lines, 5 to 70 degrees two-theta, in order of falling intensity:
| index | Position (°2θ) | I_rel |
| --- | --- | --- |
| 2 1 1 | 34.44 | 100 |
| 2 2 0 | 36.30 | 55 |
| 1 0 1 | 22.82 | 46 |
| 1 1 0 | 17.92 | 43 |
| 2 2 2 | 56.12 | 30 |
| 1 1 1 | 27.20 | 25 |
| 5 0 1 | 57.75 | 22 |
| 3 0 1 | 37.59 | 20 |
| 0 0 2 | 41.27 | 18 |
| 2 0 0 | 20.72 | 15 |